1.
This entry pairs a crystal structure of Ce2BeSi3Ni12 with its calculated powder diffractogram. Radiation: CuKα. Structure: a DFT-relaxed cell (GGA-PBE, Alexandria).

Crystal structure
a = 6.2586 Å, b = 6.2586 Å, c = 21.9643 Å
α = 90.00°, β = 90.00°, γ = 120.00°
Space group R-3m (No. 166, hexagonal axes)
One atom of each set of equivalent atoms:
Ce 0.0000 0.0000 0.1590 x6
Be 0.0000 0.0000 0.5000 x3
Si 0.0000 0.5000 0.0000 x9
Ni 0.0543 0.5271 0.1043 x18
Ni 0.0682 0.5341 0.6193 x18

Principal peaks in the range 5° ≤ 2θ ≤ 70°, low angle first:
d [Å]	I/Imax	index
5.262	22	1 0 1
2.878	65	1 1 3
2.449	27	0 1 8
2.430	100	0 2 4
2.379	40	1 1 6
2.036	37	1 0 10
2.014	58	1 2 2
1.929	27	2 0 8
1.620	37	3 0 6
1.565	33	2 2 0


2.
This entry pairs a crystal structure of Rb2CeBe2O6 with its calculated powder diffractogram. Radiation: CuKα. Structure: a DFT-relaxed cell (GGA-PBE, Alexandria).

Crystal structure
a = 5.8725 Å, b = 5.8725 Å, c = 6.6682 Å
α = 90.00°, β = 90.00°, γ = 120.00°
Space group P-3m1 (No. 164)
One atom of each set of equivalent atoms:
Rb 0.3333 0.6667 0.3280 x2
Ce 0.0000 0.0000 0.0000 x1
Be 0.3333 0.6667 0.8152 x2
O 0.1833 0.3667 0.8089 x6

Principal peaks in the range 5° ≤ 2θ ≤ 70°, low angle first:
d [Å]	I/Imax	index
6.668	15	0 0 1
4.044	100	0 1 1
2.936	49	1 1 0
2.788	59	1 0 2
2.376	40	2 0 1
2.022	22	0 2 2
1.847	28	1 2 1
1.772	26	1 1 3
1.665	20	2 1 2
1.584	11	0 1 4


3.
This entry pairs a crystal structure of Ce2YBe2O6 with its calculated powder diffractogram. Radiation: CuKα. Structure: a DFT-relaxed cell (GGA-PBE, Alexandria).

Crystal structure
a = 5.4337 Å, b = 5.4337 Å, c = 6.2399 Å
α = 90.00°, β = 90.00°, γ = 120.00°
Space group P-3 (No. 147)
One atom of each set of equivalent atoms:
Ce 0.3333 0.6667 0.3752 x2
Y 0.0000 0.0000 0.0000 x1
Be 0.3333 0.6667 0.8176 x2
O 0.0679 0.6986 0.7785 x6

Principal peaks in the range 5° ≤ 2θ ≤ 70°, low angle first:
d [Å]	I/Imax	index
3.757	100	0 1 1
2.717	46	1 1 0
2.600	53	1 0 2
2.491	11	1 1 1
2.202	32	2 0 1
1.879	18	0 2 2
1.710	26	3 -2 1
1.652	16	1 1 3
1.569	14	3 0 0
1.545	20	3 -1 2


4.
This entry pairs a crystal structure of CeBePRh6 with its calculated powder diffractogram. Radiation: CuKα. Structure: a DFT-relaxed cell (GGA-PBE, Alexandria).

Crystal structure
a = 6.0337 Å, b = 8.9177 Å, c = 11.1317 Å
α = 90.00°, β = 90.00°, γ = 90.00°
Space group Imma (No. 74)
One atom of each set of equivalent atoms:
Ce 0.0000 0.2500 0.1603 x4
Be 0.2500 0.2500 0.7500 x4
P 0.0000 0.0000 0.5000 x4
Rh 0.0000 0.2500 0.4206 x4
Rh 0.0000 0.2500 0.9026 x4
Rh 0.2301 0.0103 0.8660 x16

Principal peaks in the range 5° ≤ 2θ ≤ 70°, low angle first:
d [Å]	I/Imax	index
6.960	14	0 1 1
3.161	23	1 0 3
2.783	45	0 0 4
2.499	100	2 2 0
2.431	26	1 1 4
2.229	44	0 4 0
1.925	13	1 3 4
1.859	65	2 2 4
1.740	21	0 4 4
1.508	14	4 0 0


5.
This entry pairs a crystal structure of Ce2Be6Pd21 with its calculated powder diffractogram. Radiation: CuKα. Structure: a DFT-relaxed cell (GGA-PBE, Alexandria).

Crystal structure
a = 11.9189 Å, b = 11.9189 Å, c = 11.9189 Å
α = 90.00°, β = 90.00°, γ = 90.00°
Space group Fm-3m (No. 225)
One atom of each set of equivalent atoms:
Ce 0.2500 0.2500 0.2500 x8
Be 0.0000 0.0000 0.2301 x24
Pd 0.0000 0.0000 0.5000 x4
Pd 0.0000 0.1695 0.3305 x48
Pd 0.1178 0.1178 0.1178 x32

Principal peaks in the range 5° ≤ 2θ ≤ 70°, low angle first:
d [Å]	I/Imax	index
2.665	30	4 2 0
2.433	36	4 2 2
2.294	100	3 3 3
2.107	23	4 4 0
2.015	27	5 3 1
1.986	10	6 0 0
1.797	9	6 2 2
1.445	10	6 4 4
1.405	28	6 6 0
1.376	15	5 5 5


6.
This entry pairs a crystal structure of Ce3Be6Pd20 with its calculated powder diffractogram. Radiation: CuKα. Structure: a DFT-relaxed cell (GGA-PBE, Alexandria).

Crystal structure
a = 12.0223 Å, b = 12.0223 Å, c = 12.0223 Å
α = 90.00°, β = 90.00°, γ = 90.00°
Space group Fm-3m (No. 225)
One atom of each set of equivalent atoms:
Ce 0.0000 0.0000 0.0000 x4
Ce 0.2500 0.2500 0.2500 x8
Be 0.0000 0.0000 0.2741 x24
Pd 0.0000 0.1699 0.1699 x48
Pd 0.1168 0.1168 0.3832 x32

Principal peaks in the range 5° ≤ 2θ ≤ 70°, low angle first:
d [Å]	I/Imax	index
2.688	26	4 2 0
2.454	37	4 2 2
2.314	100	3 3 3
2.125	23	4 4 0
2.032	23	5 3 1
2.004	10	6 0 0
1.812	7	6 2 2
1.458	8	6 4 4
1.417	28	6 6 0
1.388	15	5 5 5


7.
This entry pairs a crystal structure of Ce2BePdPt6 with its calculated powder diffractogram. Radiation: CuKα. Structure: a DFT-relaxed cell (GGA-PBE, Alexandria).

Crystal structure
a = 5.5235 Å, b = 5.5305 Å, c = 7.5224 Å
α = 69.60°, β = 69.48°, γ = 62.34°
Space group P-1 (No. 2)
One atom of each set of equivalent atoms:
Ce 0.2219 0.2221 0.2009 x2
Be 0.5000 0.5000 0.5000 x1
Pd 0.0000 0.0000 0.0000 x1
Pt 0.1492 0.6691 0.3507 x2
Pt 0.3057 0.3053 0.7906 x2
Pt 0.3317 0.8504 0.6489 x2

Principal peaks in the range 5° ≤ 2θ ≤ 70°, low angle first:
d [Å]	I/Imax	index
3.433	56	0 0 2
2.641	66	-1 1 1
2.485	85	1 1 3
2.429	55	2 0 1
2.385	53	0 2 0
2.352	98	2 2 1
2.272	72	1 1 -2
2.206	100	0 2 2
2.113	34	0 2 -1
2.107	34	2 0 -1


8.
This entry pairs a crystal structure of Ce2PmBe2Pt7 with its calculated powder diffractogram. Radiation: CuKα. Structure: a DFT-relaxed cell (GGA-PBE, Alexandria).

Crystal structure
a = 5.8457 Å, b = 6.6235 Å, c = 11.9105 Å
α = 90.00°, β = 102.15°, γ = 90.00°
Space group C2/m (No. 12)
One atom of each set of equivalent atoms:
Ce 0.1937 0.0000 0.3799 x4
Pm 0.0000 0.0000 0.0000 x2
Be 0.1983 0.5000 0.1861 x4
Pt 0.0000 0.5000 0.0000 x2
Pt 0.1164 0.2854 0.8087 x8
Pt 0.1975 0.5000 0.3767 x4

Principal peaks in the range 5° ≤ 2θ ≤ 70°, low angle first:
d [Å]	I/Imax	index
11.644	18	0 0 1
2.879	56	0 2 2
2.649	40	2 0 1
2.519	100	0 2 3
2.375	31	2 0 2
2.329	53	0 0 5
2.295	50	2 0 -4
2.190	96	2 2 -1
1.617	34	2 2 4
1.575	22	2 2 -6